Simulated powder XRD pattern
Compound: ZnIn6Ga3
Radiation: Cu Ka
Structure: a DFT-relaxed cell (PBE, Alexandria)
Peak positions follow from Bragg's law for the DFT cell and can differ from measured ones.

Top 10 peaks for 5° ≤ 2θ ≤ 70°, low angle first:
| two_theta | d/Å | I_rel |
| --- | --- | --- |
| 31.17 | 2.869 | 68 |
| 31.28 | 2.859 | 60 |
| 31.42 | 2.848 | 54 |
| 32.68 | 2.740 | 75 |
| 32.99 | 2.715 | 62 |
| 33.58 | 2.669 | 96 |
| 34.54 | 2.597 | 63 |
| 35.72 | 2.514 | 58 |
| 35.95 | 2.498 | 100 |
| 62.95 | 1.477 | 34 |

Unit cell a=8.8373 b=6.0638 c=12.1494 alpha=90.00 beta=132.79 gamma=90.00
Atoms (fractional coordinates):
Zn1 0.0000 0.0000 0.0000
Zn2 0.0000 0.5000 0.5000
In1 0.1076 0.1010 0.6759
In2 0.1076 0.3990 0.1759
In3 0.2620 0.5976 0.8238
In4 0.2620 0.9024 0.3238
In5 0.3972 0.7225 0.1492
In6 0.3972 0.7775 0.6492
In7 0.6028 0.2225 0.3508
In8 0.6028 0.2775 0.8508
In9 0.7380 0.0976 0.6762
In10 0.7380 0.4024 0.1762
In11 0.8924 0.6010 0.8241
In12 0.8924 0.8990 0.3241
Ga1 0.2370 0.2479 0.9910
Ga2 0.2370 0.2521 0.4910
Ga3 0.5000 0.0000 0.0000
Ga4 0.5000 0.5000 0.5000
Ga5 0.7630 0.7479 0.5090
Ga6 0.7630 0.7521 0.0090